Y3Ni4B4C3: simulated powder XRD pattern (Cu Kα, 1.54184 Å), based on DFT lattice parameters and positions (PBE).
No peak broadening, texture or thermal motion is included.

Atomic structure:
Unit cell a=3.5683 b=3.5683 c=25.5636 alpha=90.00 beta=90.00 gamma=90.00
Space group I4/mmm (No. 139)
Asymmetric unit:
Y1 0.0000 0.0000 0.0000 (multiplicity 2)
Y2 0.0000 0.0000 0.2991 (multiplicity 4)
Ni1 0.0000 0.5000 0.1005 (multiplicity 8)
B1 0.0000 0.0000 0.1449 (multiplicity 4)
B2 0.0000 0.0000 0.4415 (multiplicity 4)
C1 0.0000 0.0000 0.2034 (multiplicity 4)
C2 0.0000 0.0000 0.5000 (multiplicity 2)

Top 6 peaks for 5 to 70 degrees two-theta, in order of rising 2θ:
2θ (°), I/Imax
27.1, 510
35.1, 1000
38.4, 822
41.6, 629
51.2, 436
63.6, 512

***

YNi2B2C: simulated powder XRD pattern (Cu Kα, 1.54184 Å), based on DFT lattice parameters and positions (PBE).
No peak broadening, texture or thermal motion is included.

Atomic structure:
Unit cell a=3.5451 b=3.5451 c=10.4038 alpha=90.00 beta=90.00 gamma=90.00
Space group I4/mmm (No. 139)
Asymmetric unit:
Y1 0.0000 0.0000 0.0000 (multiplicity 2)
Ni1 0.0000 0.5000 0.2500 (multiplicity 4)
B1 0.0000 0.0000 0.3565 (multiplicity 4)
C1 0.0000 0.0000 0.5000 (multiplicity 2)

Top 6 peaks for 5 to 70 degrees two-theta, in order of rising 2θ:
2θ (°), I/Imax
26.6, 269
34.5, 346
36.2, 227
39.9, 1000
51.6, 264
65.4, 234

***

NpB6C2: simulated powder XRD pattern (Cu Kα, 1.54184 Å), based on DFT lattice parameters and positions (PBE).
No peak broadening, texture or thermal motion is included.

Atomic structure:
Unit cell a=3.4671 b=6.6730 c=7.5623 alpha=90.00 beta=90.00 gamma=90.00
Space group Immm (No. 71)
Asymmetric unit:
Np1 0.0000 0.0000 0.0000 (multiplicity 2)
B1 0.0000 0.1286 0.5000 (multiplicity 4)
B2 0.0000 0.2760 0.3048 (multiplicity 8)
C1 0.0000 0.5000 0.3238 (multiplicity 4)

Top 6 peaks for 5 to 70 degrees two-theta, in order of rising 2θ:
2θ (°), I/Imax
17.7, 1000
23.5, 206
28.3, 225
29.0, 268
37.7, 394
39.3, 285

***

NpBOsC: simulated powder XRD pattern (Cu Kα, 1.54184 Å), based on DFT lattice parameters and positions (PBE).
No peak broadening, texture or thermal motion is included.

Atomic structure:
Unit cell a=3.6708 b=3.6708 c=7.7731 alpha=90.00 beta=90.00 gamma=90.00
Space group P4/nmm (No. 129, origin choice 2)
Asymmetric unit:
Np1 0.2500 0.2500 0.1652 (multiplicity 2)
B1 0.2500 0.2500 0.6692 (multiplicity 2)
Os1 0.2500 0.7500 0.5000 (multiplicity 2)
C1 0.2500 0.2500 0.8710 (multiplicity 2)

Top 6 peaks for 5 to 70 degrees two-theta, in order of rising 2θ:
2θ (°), I/Imax
26.9, 775
33.6, 520
34.6, 557
36.5, 1000
41.9, 669
49.7, 431

***

BOs2C: simulated powder XRD pattern (Cu Kα, 1.54184 Å), based on DFT lattice parameters and positions (PBE).
No peak broadening, texture or thermal motion is included.

Atomic structure:
Unit cell a=4.5312 b=4.5312 c=9.8750 alpha=90.00 beta=90.00 gamma=90.00
Space group I-42d (No. 122)
Asymmetric unit:
B1 0.0000 0.0000 0.0000 (multiplicity 4)
Os1 0.2360 0.2500 0.6250 (multiplicity 8)
C1 0.0000 0.0000 0.5000 (multiplicity 4)

Top 6 peaks for 5 to 70 degrees two-theta, in order of rising 2θ:
2θ (°), I/Imax
33.3, 1000
36.4, 180
39.8, 279
55.0, 263
63.6, 159
68.1, 251

***

B3PC: simulated powder XRD pattern (Cu Kα, 1.54184 Å), based on DFT lattice parameters and positions (PBE).
No peak broadening, texture or thermal motion is included.

Atomic structure:
Unit cell a=5.7151 b=2.9112 c=5.9009 alpha=90.00 beta=101.81 gamma=90.00
Space group Cm (No. 8)
Asymmetric unit:
B1 0.0000 0.0000 0.0000 (multiplicity 2)
B2 0.0154 0.0000 0.2858 (multiplicity 2)
B3 0.2740 0.0000 0.5342 (multiplicity 2)
P1 0.2911 0.0000 0.8759 (multiplicity 2)
C1 0.3535 0.5000 0.4508 (multiplicity 2)

Top 6 peaks for 5 to 70 degrees two-theta, in order of rising 2θ:
2θ (°), I/Imax
15.3, 703
31.0, 1000
32.0, 612
34.7, 902
36.8, 596
39.5, 963